Computed powder X-ray diffraction pattern of LiV4O5F7 for Cu Kα (weighted mean of Kα1 and Kα2), from a cell relaxed with PBE+U.

Crystal structure
```
data_LiV4O5F7
_chemical_formula_sum 'Li1 V4 O5 F7'
_cell_length_a 5.182
_cell_length_b 5.416
_cell_length_c 7.481
_cell_angle_alpha 86.32
_cell_angle_beta 89.57
_cell_angle_gamma 89.06
_space_group_name_H-M_alt 'P 1'
_space_group_IT_number 1
loop_
_space_group_symop_operation_xyz
'x,y,z'
loop_
_atom_site_label
_atom_site_fract_x
_atom_site_fract_y
_atom_site_fract_z
_atom_site_occupancy
Li1 0.000 0.000 0.000 1
V1 0.026 0.461 0.731 1
V2 0.027 0.384 0.222 1
V3 0.521 0.895 0.228 1
V4 0.521 0.935 0.730 1
O1 0.075 0.400 0.977 1
O2 0.203 0.718 0.688 1
O3 0.204 0.116 0.271 1
O4 0.780 0.098 0.783 1
O5 0.791 0.735 0.170 1
F1 0.289 0.213 0.669 1
F2 0.300 0.615 0.280 1
F3 0.368 0.917 0.979 1
F4 0.606 0.912 0.478 1
F5 0.688 0.611 0.782 1
F6 0.698 0.215 0.175 1
F7 0.903 0.424 0.477 1
```

Top 6 peaks for 10 to 80 degrees two-theta, in order of rising 2θ:
2θ/deg, I_rel
23.60, 100
23.84, 95
23.98, 95
34.62, 19
48.79, 21
54.15, 21